Diffraction record for LiCuCO3. The X-ray powder pattern is simulated, not measured: it uses a GGA-PBE-relaxed structure and Cu Kα X-rays.

Atomic structure:
Cell: 5.037 5.105 6.451 Å, 111.29 90.26 118.59°
Fractional positions:
Li  0.244  0.135  0.169
Li  0.756  0.865  0.831
Cu  0.399  0.239  0.728
Cu  0.601  0.761  0.272
C  0.065  0.568  0.760
C  0.935  0.432  0.240
O  0.070  0.294  0.808
O  0.195  0.402  0.286
O  0.324  0.810  0.761
O  0.676  0.190  0.239
O  0.805  0.598  0.714
O  0.930  0.706  0.192

Most intense lines, 15° ≤ 2θ ≤ 90°, low angle first:
two_theta	I (rel.)
20.73	35
22.76	17
22.98	31
28.21	27
28.50	26
30.48	100
35.21	21
37.35	17
38.93	21
42.17	27

Diffraction record for LiCuCO3. The X-ray powder pattern is simulated, not measured: it uses a GGA-PBE-relaxed structure and Cu Kα X-rays.

Atomic structure:
Cell: 4.809 3.215 17.136 Å, 90.00 93.22 90.00°
Fractional positions:
Li  0.000  0.202  0.000
Li  0.000  0.798  0.500
Li  0.344  0.247  0.625
Li  0.344  0.753  0.125
Cu  0.441  0.060  0.806
Cu  0.441  0.940  0.306
Cu  0.844  0.441  0.348
Cu  0.844  0.559  0.848
C  0.461  0.283  0.460
C  0.461  0.717  0.960
C  0.866  0.187  0.700
C  0.866  0.813  0.200
O  0.017  0.344  0.759
O  0.017  0.656  0.259
O  0.312  0.089  0.405
O  0.312  0.911  0.905
O  0.339  0.404  0.521
O  0.339  0.596  0.021
O  0.599  0.122  0.707
O  0.599  0.878  0.207
O  0.730  0.349  0.454
O  0.730  0.651  0.954
O  0.974  0.100  0.636
O  0.974  0.900  0.136

Most intense lines, 15° ≤ 2θ ≤ 90°, low angle first:
two_theta	I (rel.)
28.25	28
33.55	48
34.87	41
35.52	100
37.46	26
39.55	27
40.36	39
45.45	33
47.30	22
56.49	21

Diffraction record for LiCuCO3. The X-ray powder pattern is simulated, not measured: it uses a GGA-PBE-relaxed structure and Cu Kα X-rays.

Atomic structure:
Cell: 8.297 8.297 3.054 Å, 90.00 90.00 120.00°
Fractional positions:
Li  0.035  0.696  0.000
Li  0.304  0.339  0.000
Li  0.661  0.965  0.000
Cu  0.354  0.022  0.500
Cu  0.668  0.646  0.500
Cu  0.978  0.332  0.500
C  0.000  0.000  0.500
C  0.333  0.667  0.500
C  0.667  0.333  0.000
O  0.070  0.891  0.500
O  0.109  0.179  0.500
O  0.156  0.611  0.500
O  0.389  0.545  0.500
O  0.455  0.844  0.500
O  0.485  0.243  0.000
O  0.757  0.242  0.000
O  0.758  0.515  0.000
O  0.821  0.930  0.500

Most intense lines, 15° ≤ 2θ ≤ 90°, low angle first:
two_theta	I (rel.)
21.42	100
29.24	43
31.84	18
36.53	79
37.55	43
43.64	33
48.29	29
53.39	38
58.90	15
67.10	20

Diffraction record for LiCu2C2O6. The X-ray powder pattern is simulated, not measured: it uses a GGA-PBE-relaxed structure and Cu Kα X-rays.

Atomic structure:
Cell: 5.027 5.031 6.532 Å, 68.52 68.25 60.14°
Fractional positions:
Li  0.000  0.000  0.000
Cu  0.378  0.364  0.871
Cu  0.887  0.532  0.423
C  0.563  0.196  0.396
C  0.706  0.684  0.903
O  0.308  0.206  0.384
O  0.437  0.923  0.913
O  0.556  0.410  0.466
O  0.744  0.430  0.863
O  0.832  0.968  0.334
O  0.945  0.692  0.929

Most intense lines, 15° ≤ 2θ ≤ 90°, low angle first:
two_theta	I (rel.)
20.90	66
22.58	28
22.79	52
28.63	18
29.05	31
30.24	100
35.69	48
40.94	15
41.76	27
42.65	16

Diffraction record for LiCuCO3. The X-ray powder pattern is simulated, not measured: it uses a GGA-PBE-relaxed structure and Cu Kα X-rays.

Atomic structure:
Cell: 3.211 14.158 14.240 Å, 119.81 95.07 90.00°
Fractional positions:
Li  0.000  0.000  0.000
Li  0.002  0.339  0.667
Li  0.003  0.044  0.367
Li  0.010  0.715  0.721
Li  0.013  0.393  0.348
Li  0.034  0.691  0.350
Li  0.067  0.386  0.062
Li  0.932  0.063  0.676
Li  0.982  0.710  0.014
Cu  0.436  0.266  0.812
Cu  0.493  0.619  0.500
Cu  0.498  0.271  0.442
Cu  0.503  0.603  0.123
Cu  0.505  0.936  0.150
Cu  0.511  0.557  0.790
Cu  0.516  0.908  0.459
Cu  0.544  0.934  0.791
Cu  0.555  0.239  0.120
C  0.002  0.150  0.912
C  0.012  0.470  0.909
C  0.024  0.824  0.588
C  0.031  0.816  0.244
C  0.477  0.146  0.562
C  0.494  0.802  0.913
C  0.542  0.499  0.259
C  0.974  0.149  0.235
C  0.975  0.483  0.578
O  0.058  0.821  0.338
O  0.081  0.474  0.663
O  0.096  0.834  0.685
O  0.101  0.903  0.238
O  0.110  0.735  0.503
O  0.125  0.153  0.324
O  0.152  0.230  0.006
O  0.181  0.478  0.999
O  0.418  0.127  0.640
O  0.474  0.784  0.994
O  0.476  0.900  0.930
O  0.482  0.246  0.581
O  0.509  0.598  0.276
O  0.511  0.480  0.339
O  0.531  0.066  0.466
O  0.533  0.721  0.816
O  0.606  0.421  0.164
O  0.833  0.057  0.151
O  0.857  0.904  0.580
O  0.882  0.555  0.906
O  0.896  0.395  0.483
O  0.917  0.169  0.832
O  0.928  0.723  0.156
O  0.942  0.053  0.898
O  0.951  0.578  0.585
O  0.965  0.238  0.229
O  0.974  0.374  0.821

Most intense lines, 15° ≤ 2θ ≤ 90°, low angle first:
two_theta	I (rel.)
21.72	100
27.93	15
33.45	18
33.78	23
34.75	37
36.15	10
36.57	27
37.42	11
38.09	30
44.30	12

Diffraction record for LiCu3C3O9. The X-ray powder pattern is simulated, not measured: it uses a GGA-PBE-relaxed structure and Cu Kα X-rays.

Atomic structure:
Cell: 8.059 6.177 8.073 Å, 90.00 119.33 90.00°
Fractional positions:
Li  0.000  0.000  0.000
Li  0.313  0.500  0.731
Cu  0.005  0.251  0.359
Cu  0.005  0.749  0.359
Cu  0.386  0.249  0.099
Cu  0.386  0.751  0.099
Cu  0.641  0.245  0.696
Cu  0.641  0.755  0.696
C  0.016  0.250  0.719
C  0.016  0.750  0.719
C  0.336  0.000  0.380
C  0.354  0.500  0.389
C  0.674  0.000  0.036
C  0.677  0.500  0.049
O  0.200  0.265  0.802
O  0.200  0.735  0.802
O  0.218  0.000  0.445
O  0.238  0.500  0.458
O  0.271  0.000  0.193
O  0.287  0.500  0.206
O  0.518  0.000  0.489
O  0.538  0.500  0.503
O  0.560  0.500  0.118
O  0.564  0.000  0.111
O  0.603  0.000  0.853
O  0.606  0.500  0.866
O  0.858  0.500  0.164
O  0.859  0.000  0.145
O  0.914  0.254  0.538
O  0.914  0.746  0.538
O  0.931  0.233  0.820
O  0.931  0.767  0.820

Most intense lines, 15° ≤ 2θ ≤ 90°, low angle first:
two_theta	I (rel.)
21.82	45
22.04	100
31.67	18
36.51	31
36.65	67
38.40	23
38.81	24
44.94	19
48.78	21
49.11	15

Diffraction record for LiCuCO3. The X-ray powder pattern is simulated, not measured: it uses a GGA-PBE-relaxed structure and Cu Kα X-rays.

Atomic structure:
Cell: 5.265 7.925 7.277 Å, 90.00 114.13 90.00°
Fractional positions:
Li  0.143  0.241  0.253
Li  0.143  0.259  0.753
Li  0.857  0.741  0.247
Li  0.857  0.759  0.747
Cu  0.296  0.516  0.052
Cu  0.296  0.984  0.552
Cu  0.704  0.016  0.448
Cu  0.704  0.484  0.948
C  0.248  0.640  0.675
C  0.248  0.860  0.175
C  0.752  0.140  0.825
C  0.752  0.360  0.325
O  0.092  0.742  0.059
O  0.092  0.758  0.559
O  0.129  0.530  0.748
O  0.129  0.970  0.248
O  0.486  0.136  0.778
O  0.486  0.364  0.278
O  0.514  0.636  0.722
O  0.514  0.864  0.222
O  0.871  0.030  0.752
O  0.871  0.470  0.252
O  0.908  0.242  0.441
O  0.908  0.258  0.941

Most intense lines, 15° ≤ 2θ ≤ 90°, low angle first:
two_theta	I (rel.)
17.42	100
22.44	25
25.63	16
29.18	10
36.01	40
36.61	19
38.89	12
42.91	18
45.24	10
48.87	11